For ThZrNi, a DFT-relaxed cell (GGA-PBE, Alexandria) gives the calculated X-ray diffraction stick pattern in this record (Cu Kα (weighted mean of Kα1 and Kα2)).
No peak broadening, texture or thermal motion is included.

Most intense lines, 2θ from 10° to 80°, most intense first:
2θ (°)  d (Å)  intensity  hkl
33.7  2.658  100  3 1 1
36.5  2.460  52  4 1 0
33.1  2.709  48  0 1 2
34.5  2.601  40  4 0 2
35.7  2.513  38  2 1 2
38.8  2.319  24  3 1 2
50.6  1.804  23  0 2 0
22.6  3.933  23  3 0 1
55.3  1.661  20  7 1 1
32.7  2.735  20  0 0 3
29.5  3.027  16  3 0 2
26.5  3.364  15  4 0 0

Crystal structure
a b c (Å): 13.4555 3.6073 8.2047
angles (deg): 90.00 90.00 90.00
Space group Pmma (No. 51)
Asymmetric unit:
Th  0.0348  0.0000  0.2181
Th  0.2500  0.0000  0.8427
Zr  0.1212  0.5000  0.5525
Zr  0.2500  0.5000  0.2010
Ni  0.0962  0.5000  0.9527
Ni  0.2500  0.0000  0.4265

For TiNi, a DFT-relaxed cell (GGA-PBE, Alexandria) gives the calculated X-ray diffraction stick pattern in this record (Cu Kα (weighted mean of Kα1 and Kα2)).
No peak broadening, texture or thermal motion is included.

Most intense lines, 2θ from 10° to 80°, most intense first:
2θ (°)  d (Å)  intensity  hkl
43.1  2.100  100  2 0 4
41.4  2.181  56  2 2 0
76.7  1.243  26  4 2 4
60.0  1.542  15  4 0 0
65.1  1.434  6  0 0 8
50.4  1.811  3  3 0 3
44.8  2.024  3  3 0 1
29.0  3.084  3  2 0 0
40.3  2.237  3  2 1 3
16.3  5.432  3  1 0 1
54.2  1.692  2  3 2 1
68.4  1.371  2  3 2 5

Crystal structure
a b c (Å): 6.1679 6.1679 11.4681
angles (deg): 90.00 90.00 90.00
Space group I4/mmm (No. 139)
Asymmetric unit:
Ti  0.0000  0.0000  0.0000
Ti  0.0000  0.0000  0.2294
Ti  0.0000  0.0000  0.5000
Ti  0.0000  0.5000  0.0000
Ti  0.0000  0.5000  0.2500
Ni  0.2270  0.2270  0.3719

For Ti3Ni13, a DFT-relaxed cell (GGA-PBE, Alexandria) gives the calculated X-ray diffraction stick pattern in this record (Cu Kα (weighted mean of Kα1 and Kα2)).
No peak broadening, texture or thermal motion is included.

Most intense lines, 2θ from 10° to 80°, most intense first:
2θ (°)  d (Å)  intensity  hkl
46.8  1.942  100  2 0 2
42.5  2.126  47  2 0 1
43.7  2.069  37  0 0 4
53.3  1.720  23  2 0 3
74.8  1.270  20  2 2 0
71.3  1.323  9  2 0 5
41.0  2.199  8  2 0 0
61.5  1.507  4  2 0 4
20.2  4.399  2  1 0 0
60.0  1.543  1  2 1 2
22.9  3.884  1  1 0 1
29.6  3.014  1  1 0 2

Crystal structure
a b c (Å): 5.0792 5.0792 8.2774
angles (deg): 90.00 90.00 120.00
Space group P-6m2 (No. 187)
Asymmetric unit:
Ti  0.0000  0.0000  0.0000
Ti  0.6667  0.3333  0.2482
Ni  0.0106  0.5053  0.0000
Ni  0.1683  0.3367  0.2518
Ni  0.3234  0.1617  0.5000
Ni  0.3333  0.6667  0.5000

For Ti4Ni, a DFT-relaxed cell (GGA-PBE, Alexandria) gives the calculated X-ray diffraction stick pattern in this record (Cu Kα (weighted mean of Kα1 and Kα2)).
No peak broadening, texture or thermal motion is included.

Most intense lines, 2θ from 10° to 80°, most intense first:
2θ (°)  d (Å)  intensity  hkl
40.6  2.222  100  1 5 1
39.8  2.268  76  2 0 2
39.6  2.276  39  4 2 0
39.1  2.305  39  3 3 1
42.3  2.136  28  2 2 2
48.8  1.867  24  3 5 1
66.6  1.404  18  1 5 3
54.8  1.675  12  5 3 1
74.0  1.281  11  0 0 4
36.9  2.437  11  4 0 0
33.4  2.683  11  3 1 1
77.4  1.233  9  2 10 0

Crystal structure
a b c (Å): 9.7494 12.7433 5.1230
angles (deg): 90.00 90.00 90.00
Space group Fdd2 (No. 43)
Asymmetric unit:
Ti  0.0521  0.3029  0.0000
Ti  0.0588  0.4003  0.5123
Ni  0.0000  0.0000  0.4657

Question: Which formula does entry 1 have?
Answer: ThZrNi